Record 1
Structure and simulated powder diffractogram of CaTl (DFT lattice parameters and positions (PBE); Cu Kα (λ = 1.5418 Å)).
Lines closer than 0.1° are merged.

```
2
Lattice="3.9078 0.0000 0.0000 0.0000 3.9078 0.0000 0.0000 0.0000 3.9078" Properties=species:S:1:pos:R:3 pbc="T T T"
Ca 0.0000 0.0000 0.0000
Tl 1.9539 1.9539 1.9539
```

The 8 most intense peaks (2θ from 10° to 90°), most intense first:
| 2θ (°) | d_spacing | Rel. int. |
| --- | --- | --- |
| 32.40 | 2.763 | 100 |
| 22.76 | 3.908 | 49 |
| 57.79 | 1.595 | 38 |
| 52.35 | 1.748 | 23 |
| 46.48 | 1.954 | 18 |
| 77.20 | 1.236 | 16 |
| 39.96 | 2.256 | 16 |
| 67.83 | 1.382 | 12 |



Record 2
Structure and simulated powder diffractogram of Ca3Tl (DFT lattice parameters and positions (PBE); Cu Kα (λ = 1.5418 Å)).
Lines closer than 0.1° are merged.

```
8
Lattice="7.3709 0.0000 0.0000 -3.6854 6.3834 0.0000 0.0000 0.0000 5.6834" Properties=species:S:1:pos:R:3 pbc="T T T"
Ca 0.0000 2.2260 1.4208
Ca -1.7577 5.2704 1.4208
Ca 1.9278 1.1130 4.2625
Ca 1.7577 5.2704 1.4208
Ca 5.4431 1.1130 4.2625
Ca 3.6854 4.1574 4.2625
Tl 0.0000 4.2556 4.2625
Tl 3.6854 2.1278 1.4208
```

The 8 most intense peaks (2θ from 10° to 90°), most intense first:
| 2θ (°) | d_spacing | Rel. int. |
| --- | --- | --- |
| 32.17 | 2.783 | 100 |
| 20.93 | 4.245 | 61 |
| 13.87 | 6.383 | 32 |
| 24.15 | 3.685 | 31 |
| 40.62 | 2.221 | 28 |
| 27.95 | 3.192 | 24 |
| 31.48 | 2.842 | 24 |
| 59.82 | 1.546 | 21 |



Record 3
Structure and simulated powder diffractogram of Ca3Tl (DFT lattice parameters and positions (PBE); Cu Kα (λ = 1.5418 Å)).
Lines closer than 0.1° are merged.

```
4
Lattice="0.0000 4.0575 4.0575 4.0575 0.0000 4.0575 4.0575 4.0575 0.0000" Properties=species:S:1:pos:R:3 pbc="T T T"
Ca 0.0000 0.0000 0.0000
Ca 2.0287 2.0287 2.0287
Ca 6.0862 6.0862 6.0862
Tl 4.0575 4.0575 4.0575
```

The 8 most intense peaks (2θ from 10° to 90°), most intense first:
| 2θ (°) | d_spacing | Rel. int. |
| --- | --- | --- |
| 31.17 | 2.869 | 100 |
| 18.94 | 4.685 | 49 |
| 55.47 | 1.656 | 38 |
| 36.73 | 2.447 | 30 |
| 21.91 | 4.057 | 27 |
| 44.67 | 2.029 | 18 |
| 73.86 | 1.283 | 16 |
| 48.92 | 1.862 | 14 |



Record 4
Structure and simulated powder diffractogram of Ca2TlZn (DFT lattice parameters and positions (PBE); Cu Kα (λ = 1.5418 Å)).
Lines closer than 0.1° are merged.

```
4
Lattice="0.0000 3.7950 3.7950 3.7950 0.0000 3.7950 3.7950 3.7950 0.0000" Properties=species:S:1:pos:R:3 pbc="T T T"
Ca 1.8975 1.8975 1.8975
Ca 5.6925 5.6925 5.6925
Tl 0.0000 0.0000 0.0000
Zn 3.7950 3.7950 3.7950
```

The 8 most intense peaks (2θ from 10° to 90°), most intense first:
| 2θ (°) | d_spacing | Rel. int. |
| --- | --- | --- |
| 33.39 | 2.683 | 100 |
| 59.68 | 1.549 | 36 |
| 23.44 | 3.795 | 32 |
| 20.27 | 4.382 | 29 |
| 47.94 | 1.897 | 18 |
| 39.37 | 2.288 | 17 |
| 79.94 | 1.200 | 15 |
| 54.03 | 1.697 | 15 |



Record 5
Structure and simulated powder diffractogram of CaTmZn2 (DFT lattice parameters and positions (PBE); Cu Kα (λ = 1.5418 Å)).
Lines closer than 0.1° are merged.

```
4
Lattice="0.0000 3.5823 3.5823 3.5823 0.0000 3.5823 3.5823 3.5823 0.0000" Properties=species:S:1:pos:R:3 pbc="T T T"
Ca 0.0000 0.0000 0.0000
Tm 3.5823 3.5823 3.5823
Zn 1.7912 1.7912 1.7912
Zn 5.3735 5.3735 5.3735
```

The 8 most intense peaks (2θ from 10° to 90°), most intense first:
| 2θ (°) | d_spacing | Rel. int. |
| --- | --- | --- |
| 35.44 | 2.533 | 100 |
| 63.62 | 1.462 | 35 |
| 21.48 | 4.136 | 29 |
| 50.99 | 1.791 | 17 |
| 41.82 | 2.160 | 16 |
| 85.77 | 1.133 | 15 |
| 74.99 | 1.267 | 11 |
| 55.94 | 1.644 | 7 |



Record 6
Structure and simulated powder diffractogram of Ca3U (DFT lattice parameters and positions (PBE); Cu Kα (λ = 1.5418 Å)).
Lines closer than 0.1° are merged.

```
4
Lattice="0.0000 4.2133 4.2133 4.2133 0.0000 4.2133 4.2133 4.2133 0.0000" Properties=species:S:1:pos:R:3 pbc="T T T"
Ca 0.0000 0.0000 0.0000
Ca 2.1067 2.1067 2.1067
Ca 6.3200 6.3200 6.3200
U 4.2133 4.2133 4.2133
```

The 8 most intense peaks (2θ from 10° to 90°), most intense first:
| 2θ (°) | d_spacing | Rel. int. |
| --- | --- | --- |
| 29.99 | 2.979 | 100 |
| 18.23 | 4.865 | 56 |
| 53.25 | 1.720 | 39 |
| 35.33 | 2.541 | 35 |
| 21.09 | 4.213 | 31 |
| 86.41 | 1.126 | 20 |
| 42.93 | 2.107 | 19 |
| 70.71 | 1.332 | 17 |



Record 7
Structure and simulated powder diffractogram of Ca3V (DFT lattice parameters and positions (PBE); Cu Kα (λ = 1.5418 Å)).
Lines closer than 0.1° are merged.

```
4
Lattice="-2.5395 2.5395 5.1177 2.5395 -2.5395 5.1177 2.5395 2.5395 -5.1177" Properties=species:S:1:pos:R:3 pbc="T T T"
Ca 0.0000 0.0000 0.0000
Ca 2.5395 0.0000 2.5588
Ca 0.0000 2.5395 2.5588
V 0.0000 0.0000 5.1177
```

The 8 most intense peaks (2θ from 10° to 90°), most intense first:
| 2θ (°) | d_spacing | Rel. int. |
| --- | --- | --- |
| 30.41 | 2.940 | 100 |
| 35.34 | 2.539 | 33 |
| 60.41 | 1.532 | 24 |
| 50.64 | 1.802 | 21 |
| 35.07 | 2.559 | 17 |
| 60.04 | 1.541 | 12 |
| 50.85 | 1.796 | 10 |
| 63.27 | 1.470 | 10 |



Record 8
Structure and simulated powder diffractogram of Ca3W (DFT lattice parameters and positions (PBE); Cu Kα (λ = 1.5418 Å)).
Lines closer than 0.1° are merged.

```
8
Lattice="7.0813 0.0000 0.0000 -3.5407 6.1326 0.0000 0.0000 0.0000 5.4229" Properties=species:S:1:pos:R:3 pbc="T T T"
Ca 0.0000 2.1996 1.3557
Ca -1.6357 5.0328 1.3557
Ca 1.9049 1.0998 4.0672
Ca 1.6357 5.0328 1.3557
Ca 5.1764 1.0998 4.0672
Ca 3.5407 3.9330 4.0672
W 0.0000 4.0884 4.0672
W 3.5407 2.0442 1.3557
```

The 8 most intense peaks (2θ from 10° to 90°), most intense first:
| 2θ (°) | d_spacing | Rel. int. |
| --- | --- | --- |
| 33.58 | 2.669 | 100 |
| 21.88 | 4.062 | 52 |
| 14.44 | 6.133 | 35 |
| 25.15 | 3.541 | 29 |
| 42.41 | 2.131 | 28 |
| 29.12 | 3.066 | 24 |
| 33.04 | 2.711 | 24 |
| 62.67 | 1.482 | 20 |